No. 1
Sc3RuC4: calculated powder diffractogram (λ = 1.5418 Å (Cu Kα)), based on a GGA-PBE-relaxed structure.

Cell and atoms:
Cell: 3.330 4.507 12.430 Å, 90.00 90.00 90.00°
Space group Immm (No. 71)
Inequivalent atoms, fractional coordinates:
Sc  0.000  0.000  0.000 [2 per cell]
Sc  0.000  0.500  0.189 [4 per cell]
Ru  0.000  0.000  0.500 [2 per cell]
C  0.000  0.341  0.371 [8 per cell]

Top 12 peaks for 5 to 70 degrees two-theta, in order of rising 2θ:
- d = 6.215 Å, rel. 35.9
- d = 4.237 Å, rel. 24.6
- d = 3.107 Å, rel. 12.1
- d = 2.596 Å, rel. 14.8
- d = 2.459 Å, rel. 100.0
- d = 2.253 Å, rel. 20.4
- d = 2.177 Å, rel. 18.5
- d = 2.072 Å, rel. 14.5
- d = 2.029 Å, rel. 32.8
- d = 1.824 Å, rel. 12.0
- d = 1.702 Å, rel. 15.5
- d = 1.665 Å, rel. 11.4

---

No. 2
LiSmCd3: calculated powder diffractogram (λ = 1.5418 Å (Cu Kα)), based on a GGA-PBE-relaxed structure.

Cell and atoms:
Cell: 6.8644 6.8644 5.5755 Å, 90.00 90.00 120.00°
Space group P6_3/mmc (No. 194)
Inequivalent atoms, fractional coordinates:
Li  0.0000  0.0000  0.0000 [2 per cell]
Sm  0.3333  0.6667  0.2500 [2 per cell]
Cd  0.1878  0.3755  0.7500 [6 per cell]

Top 12 peaks for 5 to 70 degrees two-theta, in order of rising 2θ:
- d = 5.945 Å, rel. 8.9
- d = 2.972 Å, rel. 22.9
- d = 2.788 Å, rel. 28.6
- d = 2.623 Å, rel. 100.0
- d = 2.084 Å, rel. 5.7
- d = 2.033 Å, rel. 16.7
- d = 1.867 Å, rel. 6.3
- d = 1.716 Å, rel. 15.3
- d = 1.576 Å, rel. 20.4
- d = 1.461 Å, rel. 16.8
- d = 1.436 Å, rel. 11.5
- d = 1.394 Å, rel. 3.4